Record 1
This entry pairs a crystal structure of Al19Co6 with its simulated powder diffractogram. Radiation: CuKα. Structure: a DFT-relaxed cell (PBE, the Materials Project).
Peak positions follow from Bragg's law for the DFT cell and can differ from measured ones.

Principal peaks in the range 10 to 80 degrees two-theta, sorted by position:
| 2θ/deg | I (rel.) | (hkl) |
| --- | --- | --- |
| 22.6 | 35 | 0 0 3 |
| 24.8 | 23 | 4 0 0 |
| 25.3 | 38 | 2 2 -1 |
| 43.8 | 68 | 6 2 -3 |
| 44.0 | 90 | 6 2 0 |
| 44.5 | 50 | 0 2 5 |
| 44.8 | 100 | 0 4 0 |
| 45.2 | 57 | 4 2 3 |

Atomic structure:
```
data_Al19Co6
_symmetry_space_group_name_H-M 'C 1 2/m 1'
_symmetry_Int_Tables_number 12
_cell_length_a 15.1184
_cell_length_b 8.0865
_cell_length_c 12.4163
_cell_angle_alpha 90.00
_cell_angle_beta 108.40
_cell_angle_gamma 90.00
loop_
_symmetry_equiv_pos_as_xyz
'x,y,z'
'-x,-y,-z'
'-x,y,-z'
'x,-y,z'
'x+1/2,y+1/2,z'
'-x+1/2,-y+1/2,-z'
'-x+1/2,y+1/2,-z'
'x+1/2,-y+1/2,z'
loop_
_atom_site_label
_atom_site_fract_x
_atom_site_fract_y
_atom_site_fract_z
Al1 0.0000 0.2490 0.0000
Al2 0.0052 0.2745 0.6718
Al3 0.0261 0.5000 0.1679
Al4 0.0664 0.0000 0.1741
Al5 0.0775 0.0000 0.5800
Al6 0.0914 0.0000 0.7864
Al7 0.1275 0.3043 0.5220
Al8 0.1296 0.2833 0.8918
Al9 0.1656 0.5000 0.7229
Al10 0.1807 0.2210 0.3363
Al11 0.1863 0.2190 0.1162
Al12 0.2102 0.5000 0.2354
Al13 0.2342 0.0000 0.5208
Al14 0.2445 0.0000 0.9776
Co1 0.0819 0.0000 0.3810
Co2 0.0917 0.0000 0.9846
Co3 0.1001 0.5000 0.0169
Co4 0.1086 0.5000 0.3672
Co5 0.1733 0.2231 0.7187
```


Record 2
This entry pairs a crystal structure of BiTeRh with its simulated powder diffractogram. Radiation: CuKα. Structure: a DFT-relaxed cell (PBE, the Materials Project).
Peak positions follow from Bragg's law for the DFT cell and can differ from measured ones.

Principal peaks in the range 10 to 80 degrees two-theta, sorted by position:
| 2θ/deg | I (rel.) | (hkl) |
| --- | --- | --- |
| 30.3 | 100 | 2 1 0 |
| 33.2 | 70 | 2 1 1 |
| 45.6 | 54 | 3 1 1 |
| 49.8 | 21 | 3 0 2 |
| 51.8 | 41 | 3 1 2 |
| 64.7 | 23 | 4 2 1 |
| 74.7 | 15 | 3 3 3 |
| 77.9 | 20 | 5 0 2 |

Atomic structure:
```
data_BiTeRh
_symmetry_space_group_name_H-M 'P 21 3'
_symmetry_Int_Tables_number 198
_symmetry_space_group_name_Hall 'P 2ac 2ab 3'
_cell_length_a 6.6042
_cell_length_b 6.6042
_cell_length_c 6.6042
_cell_angle_alpha 90.00
_cell_angle_beta 90.00
_cell_angle_gamma 90.00
loop_
_atom_site_label
_atom_site_fract_x
_atom_site_fract_y
_atom_site_fract_z
Bi1 0.1302 0.1302 0.1302
Te1 0.1275 0.3725 0.6275
Rh1 0.0059 0.5059 0.9941
```


Record 3
This entry pairs a crystal structure of BaF3 with its simulated powder diffractogram. Radiation: CuKα. Structure: a DFT-relaxed cell (PBE, the Materials Project).
Peak positions follow from Bragg's law for the DFT cell and can differ from measured ones.

Principal peaks in the range 10 to 80 degrees two-theta, sorted by position:
| 2θ/deg | I (rel.) | (hkl) |
| --- | --- | --- |
| 24.4 | 100 | 1 0 1 |
| 24.7 | 24 | 0 0 2 |
| 29.9 | 30 | 1 1 0 |
| 39.1 | 84 | 1 1 2 |
| 42.7 | 32 | 2 0 0 |
| 43.3 | 22 | 1 0 3 |
| 49.8 | 30 | 2 1 1 |
| 75.8 | 21 | 3 1 2 |

Atomic structure:
```
data_BaF3
_symmetry_space_group_name_H-M 'I 4/m m m'
_symmetry_Int_Tables_number 139
_symmetry_space_group_name_Hall '-I 4 2'
_cell_length_a 4.2319
_cell_length_b 4.2319
_cell_length_c 7.2155
_cell_angle_alpha 90.00
_cell_angle_beta 90.00
_cell_angle_gamma 90.00
loop_
_atom_site_label
_atom_site_fract_x
_atom_site_fract_y
_atom_site_fract_z
Ba1 0.0000 0.0000 0.0000
F1 0.0000 0.0000 0.5000
F2 0.0000 0.5000 0.2500
```


Record 4
This entry pairs a crystal structure of Mg6VH16 with its simulated powder diffractogram. Radiation: CuKα. Structure: a DFT-relaxed cell (PBE, the Materials Project).
Peak positions follow from Bragg's law for the DFT cell and can differ from measured ones.

Principal peaks in the range 10 to 80 degrees two-theta, sorted by position:
| 2θ/deg | I (rel.) | (hkl) |
| --- | --- | --- |
| 16.3 | 43 | 1 1 1 |
| 31.6 | 21 | 3 1 1 |
| 33.0 | 100 | 2 2 2 |
| 38.3 | 40 | 4 0 0 |
| 41.9 | 8 | 3 3 1 |
| 55.3 | 36 | 4 4 0 |
| 66.0 | 36 | 6 2 2 |
| 69.3 | 10 | 4 4 4 |

Atomic structure:
```
data_Mg6VH16
_symmetry_space_group_name_H-M 'F m -3 m'
_symmetry_Int_Tables_number 225
_symmetry_space_group_name_Hall '-F 4 2 3'
_cell_length_a 9.3936
_cell_length_b 9.3936
_cell_length_c 9.3936
_cell_angle_alpha 90.00
_cell_angle_beta 90.00
_cell_angle_gamma 90.00
loop_
_atom_site_label
_atom_site_fract_x
_atom_site_fract_y
_atom_site_fract_z
Mg1 0.0000 0.2500 0.2500
V1 0.0000 0.0000 0.0000
H1 0.1094 0.1094 0.1094
H2 0.1441 0.1441 0.3559
```


Record 5
This entry pairs a crystal structure of ErThCN with its simulated powder diffractogram. Radiation: CuKα. Structure: a DFT-relaxed cell (PBE, the Materials Project).
Peak positions follow from Bragg's law for the DFT cell and can differ from measured ones.

Principal peaks in the range 10 to 80 degrees two-theta, sorted by position:
| 2θ/deg | I (rel.) | (hkl) |
| --- | --- | --- |
| 30.2 | 100 | 1 0 1 |
| 34.8 | 45 | 1 1 0 |
| 35.4 | 21 | 0 0 2 |
| 50.0 | 16 | 2 0 0 |
| 50.4 | 31 | 1 1 2 |
| 59.5 | 31 | 2 1 1 |
| 60.3 | 15 | 1 0 3 |
| 62.7 | 16 | 2 0 2 |

Atomic structure:
```
data_ErThCN
_symmetry_space_group_name_H-M 'P 4/m m m'
_symmetry_Int_Tables_number 123
_symmetry_space_group_name_Hall '-P 4 2'
_cell_length_a 3.6478
_cell_length_b 3.6478
_cell_length_c 5.0769
_cell_angle_alpha 90.00
_cell_angle_beta 90.00
_cell_angle_gamma 90.00
loop_
_atom_site_label
_atom_site_fract_x
_atom_site_fract_y
_atom_site_fract_z
Er1 0.0000 0.0000 0.0000
Th1 0.5000 0.5000 0.5000
C1 0.0000 0.0000 0.5000
N1 0.5000 0.5000 0.0000
```


> What is the formula in the second record?

BiTeRh